The following is a theoretical X-ray diffraction stick pattern of K2MoS2O2. It was derived from a DFT-relaxed cell (GGA+U, Alexandria), using Cu Kα X-rays.
Kinematic intensities with the Lorentz-polarization factor, no thermal factor.

Cell and atoms:
Unit cell a=6.6327 b=8.3342 c=14.0557 alpha=90.00 beta=114.05 gamma=90.00
Space group P2_1/c (No. 14)
Unique sites:
K 0.1617 0.0130 0.2968
K 0.3224 0.6840 0.5480
Mo 0.2716 0.2044 0.5841
S 0.1532 0.1691 0.9287
S 0.4406 0.6602 0.3023
O 0.0538 0.2026 0.6272
O 0.3591 0.0088 0.5702

Main lines, in order of rising 2θ (2θ = 10–80°):
two_theta  I/Imax
17.4  78.1
18.1  98.7
25.5  100.0
26.5  70.2
27.0  67.9
29.9  75.7